Diffraction record for Be2ZnPd5Au2. The powder XRD pattern is computed, not measured: it uses a crystal structure in Alexandria, relaxed with GGA-PBE and Cu Kα (weighted mean of Kα1 and Kα2).
Peak positions follow from Bragg's law for the DFT cell and can differ from measured ones.

Atomic structure:
```
Be2ZnPd5Au2
1.0
9.447 0.000 0.000
0.000 9.447 0.000
0.000 0.000 3.198
Be Zn Pd Au
4 2 10 4
direct
0.129 0.371 0.000
0.371 0.871 0.000
0.629 0.129 0.000
0.871 0.629 0.000
0.000 0.000 0.000
0.500 0.500 0.000
0.000 0.500 0.500
0.066 0.208 0.500
0.208 0.934 0.500
0.292 0.434 0.500
0.434 0.708 0.500
0.500 0.000 0.500
0.566 0.292 0.500
0.708 0.566 0.500
0.792 0.066 0.500
0.934 0.792 0.500
0.177 0.677 0.000
0.323 0.177 0.000
0.677 0.823 0.000
0.823 0.323 0.000
```

Most intense lines, 10° ≤ 2θ ≤ 90°, by intensity:
| h k l | Position (°2θ) | I_rel |
| --- | --- | --- |
| 2 1 1 | 35.2 | 100 |
| 3 1 1 | 41.4 | 100 |
| 4 1 0 | 39.3 | 99 |
| 2 2 1 | 39.0 | 34 |
| 4 1 2 | 72.0 | 33 |
| 3 3 0 | 40.5 | 32 |